# 1
Starting from the PBE geometry in Alexandria, the PXRD pattern of SrLiTlAu was calculated for Cu Kα (λ = 1.5418 Å).
Peak positions follow from Bragg's law for the DFT cell and can differ from measured ones.

Main lines, in order of falling intensity (10 to 90 degrees two-theta):
hkl, Position (°2θ), Rel. int.
1 1 -2, 34.69, 100
2 0 0, 24.28, 96
3 1 -1, 38.24, 82
2 0 -1, 22.43, 73
1 1 1, 30.65, 67
0 0 1, 15.93, 62
2 0 1, 34.80, 50
4 0 -3, 52.58, 46
0 2 0, 38.14, 41
4 2 -3, 66.75, 31
1 1 2, 44.00, 28
3 1 -2, 41.60, 24

Atomic structure:
abc: 8.146 4.720 6.196
angles: 90.00 116.15 90.00
Space group Cm (No. 8)
Asymmetric unit:
Sr: 0.000 0.000 0.000 [2 per cell]
Li: 0.028 0.500 0.585 [2 per cell]
Tl: 0.293 0.500 0.380 [2 per cell]
Au: 0.205 0.000 0.615 [2 per cell]

***

# 2
Starting from the PBE geometry in Alexandria, the PXRD pattern of Li2TbAu8 was calculated for Cu Kα (λ = 1.5418 Å).
Peak positions follow from Bragg's law for the DFT cell and can differ from measured ones.

Main lines, in order of falling intensity (10 to 90 degrees two-theta):
hkl, Position (°2θ), Rel. int.
2 2 1, 37.91, 100
6 0 0, 41.40, 19
2 0 -2, 44.09, 19
1 1 -1, 24.49, 18
3 1 1, 36.97, 14
0 4 0, 46.56, 11
3 1 0, 23.36, 9
1 3 0, 35.18, 9
1 1 0, 13.21, 8
2 4 -2, 66.06, 8
3 3 0, 40.37, 8
2 0 -1, 22.69, 8

Atomic structure:
abc: 13.705 7.803 4.108
angles: 90.00 107.28 90.00
Space group C2 (No. 5)
Asymmetric unit:
Li: 0.155 0.000 0.155 [4 per cell]
Tb: 0.000 0.561 0.500 [2 per cell]
Au: 0.000 0.270 0.000 [2 per cell]
Au: 0.000 0.970 0.500 [2 per cell]
Au: 0.154 0.249 0.655 [4 per cell]
Au: 0.165 0.527 0.165 [4 per cell]
Au: 0.184 0.775 0.684 [4 per cell]

***

# 3
Starting from the PBE geometry in Alexandria, the PXRD pattern of LiTb4Au7 was calculated for Cu Kα (λ = 1.5418 Å).
Peak positions follow from Bragg's law for the DFT cell and can differ from measured ones.

Main lines, in order of falling intensity (10 to 90 degrees two-theta):
hkl, Position (°2θ), Rel. int.
3 1 1, 35.62, 100
0 2 0, 35.80, 57
3 1 -3, 34.74, 52
6 0 -2, 38.17, 26
6 2 -2, 53.32, 24
4 0 -3, 31.47, 21
3 3 1, 64.21, 19
7 1 -6, 66.11, 16
3 1 -2, 28.24, 16
1 1 -3, 36.58, 15
1 1 -4, 47.63, 15
5 1 -1, 37.56, 14

Atomic structure:
abc: 14.154 5.016 9.095
angles: 90.00 123.14 90.00
Space group C2/m (No. 12)
Asymmetric unit:
Li: 0.000 0.000 0.000 [2 per cell]
Tb: 0.063 0.500 0.745 [4 per cell]
Tb: 0.238 0.500 0.259 [4 per cell]
Au: 0.000 0.500 0.000 [2 per cell]
Au: 0.079 0.000 0.343 [4 per cell]
Au: 0.179 0.500 0.549 [4 per cell]
Au: 0.182 0.000 0.981 [4 per cell]

***

> Number 2 is which compound?

Li2TbAu8

***

> Which formula does entry 2 have?

Li2TbAu8